(1)
This entry pairs a crystal structure of La4Tb8Ce with its simulated powder XRD pattern. Radiation: Cu Kα X-rays. Structure: the PBE geometry in Alexandria.

Largest 10 diffraction maxima, sorted by position, 2θ from 10° to 90°:
19.6 deg, d = 4.528 Å, rel. 15; 22.7 deg, d = 3.916 Å, rel. 21; 32.3 deg, d = 2.775 Å, rel. 100; 32.4 deg, d = 2.764 Å, rel. 99; 46.4 deg, d = 1.958 Å, rel. 36; 57.6 deg, d = 1.601 Å, rel. 56; 57.9 deg, d = 1.593 Å, rel. 18; 67.5 deg, d = 1.387 Å, rel. 11; 76.9 deg, d = 1.240 Å, rel. 15; 77.1 deg, d = 1.237 Å, rel. 15

Structural model:
```
data_La4Tb8Ce
_chemical_formula_sum 'La4 Tb8 Ce1'
_symmetry_space_group_name_H-M 'P 1'
_symmetry_Int_Tables_number 1
_cell_length_a 7.833
_cell_length_b 7.833
_cell_length_c 7.833
_cell_angle_alpha 90.23
_cell_angle_beta 90.23
_cell_angle_gamma 90.23
loop_
_symmetry_equiv_pos_as_xyz
'x,y,z'
loop_
_atom_site_label
_atom_site_type_symbol
_atom_site_fract_x
_atom_site_fract_y
_atom_site_fract_z
_atom_site_occupancy
La1 La 0.000 0.000 0.000 1
La2 La 0.000 0.500 0.500 1
La3 La 0.500 0.000 0.500 1
La4 La 0.500 0.500 0.000 1
Tb1 Tb 0.240 0.240 0.757 1
Tb2 Tb 0.240 0.757 0.240 1
Tb3 Tb 0.241 0.241 0.241 1
Tb4 Tb 0.243 0.760 0.760 1
Tb5 Tb 0.757 0.240 0.240 1
Tb6 Tb 0.759 0.759 0.759 1
Tb7 Tb 0.760 0.243 0.760 1
Tb8 Tb 0.760 0.760 0.243 1
Ce1 Ce 0.500 0.500 0.500 1
```

---

(2)
This entry pairs a crystal structure of LiSi3Pd with its simulated powder XRD pattern. Radiation: Cu Kα X-rays. Structure: the PBE geometry in Alexandria.

Largest 10 diffraction maxima, sorted by position, 2θ from 10° to 90°:
13.4 deg, d = 6.607 Å, rel. 78; 26.7 deg, d = 3.334 Å, rel. 55; 27.0 deg, d = 3.303 Å, rel. 42; 33.0 deg, d = 2.714 Å, rel. 60; 39.4 deg, d = 2.286 Å, rel. 100; 43.1 deg, d = 2.097 Å, rel. 42; 53.2 deg, d = 1.723 Å, rel. 25; 55.5 deg, d = 1.655 Å, rel. 20; 64.0 deg, d = 1.454 Å, rel. 17; 70.8 deg, d = 1.331 Å, rel. 19

Structural model:
```
data_LiSi3Pd
_chemical_formula_sum 'Li2 Si6 Pd2'
_symmetry_space_group_name_H-M 'P 1'
_symmetry_Int_Tables_number 1
_cell_length_a 3.445
_cell_length_b 3.445
_cell_length_c 13.214
_cell_angle_alpha 90.00
_cell_angle_beta 90.00
_cell_angle_gamma 90.00
loop_
_symmetry_equiv_pos_as_xyz
'x,y,z'
loop_
_atom_site_label
_atom_site_type_symbol
_atom_site_fract_x
_atom_site_fract_y
_atom_site_fract_z
_atom_site_occupancy
Li1 Li 0.000 0.000 0.000 1
Li2 Li 0.500 0.500 0.500 1
Si1 Si 0.000 0.000 0.804 1
Si2 Si 0.000 0.500 0.156 1
Si3 Si 0.000 0.500 0.656 1
Si4 Si 0.500 0.000 0.156 1
Si5 Si 0.500 0.000 0.656 1
Si6 Si 0.500 0.500 0.304 1
Pd1 Pd 0.000 0.000 0.374 1
Pd2 Pd 0.500 0.500 0.874 1
```

---

Please write out number 1 again, unchanged.
This entry pairs a crystal structure of La4Tb8Ce with its simulated powder XRD pattern. Radiation: Cu Kα X-rays. Structure: the PBE geometry in Alexandria.

Largest 10 diffraction maxima, sorted by position, 2θ from 10° to 90°:
19.6 deg, d = 4.528 Å, rel. 15; 22.7 deg, d = 3.916 Å, rel. 21; 32.3 deg, d = 2.775 Å, rel. 100; 32.4 deg, d = 2.764 Å, rel. 99; 46.4 deg, d = 1.958 Å, rel. 36; 57.6 deg, d = 1.601 Å, rel. 56; 57.9 deg, d = 1.593 Å, rel. 18; 67.5 deg, d = 1.387 Å, rel. 11; 76.9 deg, d = 1.240 Å, rel. 15; 77.1 deg, d = 1.237 Å, rel. 15

Structural model:
```
data_La4Tb8Ce
_chemical_formula_sum 'La4 Tb8 Ce1'
_symmetry_space_group_name_H-M 'P 1'
_symmetry_Int_Tables_number 1
_cell_length_a 7.833
_cell_length_b 7.833
_cell_length_c 7.833
_cell_angle_alpha 90.23
_cell_angle_beta 90.23
_cell_angle_gamma 90.23
loop_
_symmetry_equiv_pos_as_xyz
'x,y,z'
loop_
_atom_site_label
_atom_site_type_symbol
_atom_site_fract_x
_atom_site_fract_y
_atom_site_fract_z
_atom_site_occupancy
La1 La 0.000 0.000 0.000 1
La2 La 0.000 0.500 0.500 1
La3 La 0.500 0.000 0.500 1
La4 La 0.500 0.500 0.000 1
Tb1 Tb 0.240 0.240 0.757 1
Tb2 Tb 0.240 0.757 0.240 1
Tb3 Tb 0.241 0.241 0.241 1
Tb4 Tb 0.243 0.760 0.760 1
Tb5 Tb 0.757 0.240 0.240 1
Tb6 Tb 0.759 0.759 0.759 1
Tb7 Tb 0.760 0.243 0.760 1
Tb8 Tb 0.760 0.760 0.243 1
Ce1 Ce 0.500 0.500 0.500 1
```